# SrAc3Pt
Calculated powder diffraction line list, Cu Kα (weighted mean of Kα1 and Kα2). Input: DFT lattice parameters and positions (PBE).
No peak broadening, texture or thermal motion is included.

Main lines, by intensity (2θ = 5–70°):
2θ/deg, d (Å), I_rel
8.32, 10.630, 100
27.23, 3.275, 78
27.67, 3.224, 75
27.34, 3.262, 74
42.45, 2.129, 54
25.66, 3.472, 33

Structural model:
```
20
Lattice="10.8428 0.0000 0.0000 0.0000 7.3895 0.0000 -2.1847 0.0000 10.8612" Properties=species:S:1:pos:R:3 pbc="T T T"
Sr 0.2444 0.6058 2.0249
Sr -0.8479 3.0890 7.4555
Sr 9.5060 4.3005 3.4057
Sr 8.4137 6.7837 8.8363
Ac 1.8492 4.2388 0.6355
Ac 0.7569 6.8454 6.0661
Ac 1.3296 0.6720 10.1351
Ac 2.4220 3.0227 4.7045
Ac 2.9164 4.2736 8.8253
Ac 4.0087 6.8106 3.3947
Ac 4.6493 0.5788 7.4665
Ac 5.7417 3.1159 2.0359
Ac 6.2361 4.3668 6.1567
Ac 7.3284 6.7175 0.7261
Ac 7.9012 0.5441 4.7951
Ac 6.8089 3.1506 10.2257
Pt 3.4212 5.5179 6.0835
Pt 4.5136 5.5663 0.6529
Pt 4.1445 1.8232 10.2083
Pt 5.2368 1.8715 4.7777
```